Diffraction record for Nd8Er2Sc. The powder X-ray diffraction pattern is theoretical, not measured: it uses a DFT-relaxed cell (PBE, Alexandria) and λ = 1.5418 Å (Cu Kα).
Neutral-atom scattering factors, no anomalous dispersion.

The 10 most intense peaks (2θ from 15° to 90°), low angle first:
Position (°2θ), d/Å, intensity, (hkl)
24.8, 3.584, 212, 0 2 2
29.1, 3.068, 179, 1 1 4
31.3, 2.858, 404, 2 0 0
31.5, 2.838, 360, 1 0 5
31.9, 2.804, 1000, 1 2 3
40.4, 2.235, 119, 2 2 2
50.2, 1.818, 116, 0 2 8
56.1, 1.640, 201, 3 2 3
60.3, 1.534, 136, 2 2 8
64.8, 1.438, 139, 1 0 11

```
data_Nd8Er2Sc
_space_group_name_H-M_alt 'I m m m'
_space_group_IT_number 71
_space_group_name_Hall '-I 2 2'
_cell_length_a 5.717
_cell_length_b 7.975
_cell_length_c 16.344
_cell_angle_alpha 90.00
_cell_angle_beta 90.00
_cell_angle_gamma 90.00
loop_
_atom_site_label
_atom_site_type_symbol
_atom_site_fract_x
_atom_site_fract_y
_atom_site_fract_z
Nd1 Nd 0.000 0.000 0.169
Nd2 Nd 0.000 0.209 0.369
Nd3 Nd 0.000 0.281 0.000
Er1 Er 0.000 0.500 0.199
Sc1 Sc 0.000 0.500 0.500
```